For AcNd2Pt4, a PBE-relaxed structure gives the theoretical PXRD pattern in this record (CuKα).

Most intense lines, 10° ≤ 2θ ≤ 80°, in order of rising 2θ:
two_theta  I (rel.)
31.33  100
31.94  26
35.35  18
38.66  42
41.24  61
44.31  23
48.02  12
53.06  16
60.24  24
62.09  17
68.95  11
73.41  16

Crystal structure
```
data_AcNd2Pt4
_cell_length_a 4.089
_cell_length_b 4.383
_cell_length_c 19.242
_cell_angle_alpha 90.00
_cell_angle_beta 90.00
_cell_angle_gamma 90.00
_symmetry_space_group_name_H-M 'I m m m'
_symmetry_Int_Tables_number 71
_symmetry_space_group_name_Hall '-I 2 2'
loop_
_atom_site_label
_atom_site_fract_x
_atom_site_fract_y
_atom_site_fract_z
Ac1 0.000 0.000 0.000
Nd1 0.000 0.500 0.187
Pt1 0.000 0.000 0.431
Pt2 0.000 0.500 0.342
```